# 1
For La2Pm2Tm, a DFT-relaxed cell (GGA-PBE, Alexandria) gives the calculated PXRD pattern in this record (copper Kα).

Peak list (10 most intense, 10 to 90 degrees two-theta, in order of rising 2θ)
- 27.8 deg, I = 24
- 30.4 deg, I = 25
- 31.8 deg, I = 100
- 41.7 deg, I = 16
- 49.3 deg, I = 13
- 54.9 deg, I = 21
- 58.9 deg, I = 8
- 59.0 deg, I = 15
- 59.8 deg, I = 11
- 81.2 deg, I = 7

Cell and atoms:
```
La2Pm2Tm
1.0
6.3976 0.0000 0.0000
0.0000 5.8856 0.0000
-3.1871 0.0000 9.2691
La Pm Tm
4 4 2
Direct
0.0364 0.2500 0.3978
0.2338 0.2500 0.8016
0.7662 0.7500 0.1984
0.9636 0.7500 0.6022
0.1699 0.7500 0.0023
0.3694 0.7500 0.3988
0.6306 0.2500 0.6012
0.8301 0.2500 0.9977
0.4329 0.2500 0.1993
0.5671 0.7500 0.8007
```

# 2
For LaPm8Tm3, a DFT-relaxed cell (GGA-PBE, Alexandria) gives the calculated PXRD pattern in this record (copper Kα).

Peak list (10 most intense, 10 to 90 degrees two-theta, in order of rising 2θ)
- 28.5 deg, I = 36
- 29.1 deg, I = 18
- 30.7 deg, I = 51
- 31.4 deg, I = 100
- 33.1 deg, I = 90
- 50.0 deg, I = 39
- 53.9 deg, I = 21
- 57.2 deg, I = 20
- 59.8 deg, I = 38
- 60.3 deg, I = 16

Cell and atoms:
```
LaPm8Tm3
1.0
3.6497 0.0000 0.0000
0.0101 8.9876 0.0000
0.0064 2.9382 12.2761
La Pm Tm
1 8 3
Direct
0.0000 0.0000 0.0000
0.0000 0.0069 0.4944
0.0000 0.3358 0.6063
0.0001 0.6629 0.8894
0.4997 0.9995 0.7465
0.4996 0.0008 0.2510
0.4997 0.3348 0.8617
0.4997 0.6616 0.1418
0.5007 0.6691 0.6319
0.9996 0.3319 0.1147
0.0002 0.6644 0.3866
0.4999 0.3370 0.3570
```

# 3
For La3Pm5Tm, a DFT-relaxed cell (GGA-PBE, Alexandria) gives the calculated PXRD pattern in this record (copper Kα).

Peak list (10 most intense, 10 to 90 degrees two-theta, in order of rising 2θ)
- 20.6 deg, I = 61
- 27.8 deg, I = 53
- 27.9 deg, I = 50
- 28.8 deg, I = 73
- 30.1 deg, I = 100
- 30.5 deg, I = 64
- 31.3 deg, I = 42
- 31.8 deg, I = 81
- 32.4 deg, I = 33
- 34.2 deg, I = 29

Cell and atoms:
```
La3Pm5Tm
1.0
6.0468 -4.3128 0.0000
6.0468 4.3128 0.0000
-3.6209 0.0000 12.7757
La Pm Tm
6 10 2
Direct
0.0000 0.0000 0.0000
0.0000 0.0000 0.5000
0.2735 0.2735 0.5469
0.4402 0.4402 0.7869
0.5598 0.5598 0.2131
0.7265 0.7265 0.4531
0.0249 0.6441 0.2199
0.2642 0.2642 0.0432
0.3162 0.6838 0.0000
0.3559 0.9751 0.7801
0.4213 0.4213 0.3817
0.5787 0.5787 0.6183
0.6441 0.0249 0.2199
0.6838 0.3162 0.0000
0.7358 0.7358 0.9568
0.9751 0.3559 0.7801
0.1207 0.1207 0.2644
0.8793 0.8793 0.7356
```

# 4
For La2Pm4Tm3, a DFT-relaxed cell (GGA-PBE, Alexandria) gives the calculated PXRD pattern in this record (copper Kα).

Peak list (10 most intense, 10 to 90 degrees two-theta, in order of rising 2θ)
- 31.1 deg, I = 96
- 31.2 deg, I = 100
- 44.6 deg, I = 35
- 55.5 deg, I = 36
- 55.6 deg, I = 19
- 61.7 deg, I = 28
- 65.1 deg, I = 11
- 73.9 deg, I = 15
- 79.4 deg, I = 13
- 87.7 deg, I = 10

Cell and atoms:
```
La2Pm4Tm3
1.0
6.0895 -2.8648 0.0000
6.0895 2.8648 0.0000
-6.0366 0.0000 8.6324
La Pm Tm
2 4 3
Direct
0.1160 0.1160 0.2681
0.8840 0.8840 0.7319
0.2278 0.2278 0.0444
0.4480 0.4480 0.6101
0.5520 0.5520 0.3899
0.7722 0.7722 0.9556
0.1644 0.1644 0.6640
0.5000 0.5000 0.0000
0.8356 0.8356 0.3360
```

Question: What is the formula in the first record?
Answer: La2Pm2Tm